1.
Structure and calculated PXRD pattern of Al3Pd5Au (the PBE geometry in Alexandria; Cu Kα X-rays).
No peak broadening, texture or thermal motion is included.

Atomic structure:
```
data_Al3Pd5Au
_cell_length_a 7.5323
_cell_length_b 7.5323
_cell_length_c 5.5710
_cell_angle_alpha 90.00
_cell_angle_beta 90.00
_cell_angle_gamma 120.00
_symmetry_space_group_name_H-M 'P 63/m c m'
_symmetry_Int_Tables_number 193
_symmetry_space_group_name_Hall '-P 6c 2'
loop_
_atom_site_label
_atom_site_type_symbol
_atom_site_fract_x
_atom_site_fract_y
_atom_site_fract_z
Al1 Al 0.0000 0.3502 0.2500
Pd1 Pd 0.0000 0.3240 0.7500
Pd2 Pd 0.3333 0.6667 0.0000
Au1 Au 0.0000 0.0000 0.0000
```

Main lines, sorted by position (2θ = 10–90°):
2θ = 13.57°, I = 14.8, hkl 1 0 0
2θ = 23.62°, I = 23.3, hkl 1 1 0
2θ = 28.61°, I = 29.4, hkl 1 1 1
2θ = 40.27°, I = 100.0, hkl 1 1 2
2θ = 41.53°, I = 79.8, hkl 3 0 0
2θ = 59.23°, I = 31.6, hkl 2 2 2
2θ = 67.22°, I = 6.4, hkl 0 0 4
2θ = 74.92°, I = 31.2, hkl 4 1 2
2θ = 75.77°, I = 12.9, hkl 3 3 0
2θ = 82.19°, I = 21.6, hkl 3 0 4

***

2.
Structure and calculated PXRD pattern of AlPd14Au (the PBE geometry in Alexandria; Cu Kα X-rays).
No peak broadening, texture or thermal motion is included.

Atomic structure:
```
data_AlPd14Au
_cell_length_a 9.160
_cell_length_b 5.587
_cell_length_c 9.664
_cell_angle_alpha 90.00
_cell_angle_beta 90.00
_cell_angle_gamma 90.00
_symmetry_space_group_name_H-M 'A m m 2'
_symmetry_Int_Tables_number 38
loop_
_symmetry_equiv_pos_as_xyz
'x,y,z'
'-x,-y,z'
'-x,y,z'
'x,-y,z'
'x,y+1/2,z+1/2'
'-x,-y+1/2,z+1/2'
'-x,y+1/2,z+1/2'
'x,-y+1/2,z+1/2'
loop_
_atom_site_label
_atom_site_type_symbol
_atom_site_fract_x
_atom_site_fract_y
_atom_site_fract_z
Al1 Al 0.000 0.000 0.000
Pd1 Pd 0.000 0.248 0.249
Pd2 Pd 0.245 0.000 0.836
Pd3 Pd 0.247 0.246 0.083
Pd4 Pd 0.253 0.000 0.333
Pd5 Pd 0.500 0.000 0.167
Pd6 Pd 0.500 0.000 0.668
Pd7 Pd 0.500 0.249 0.918
Au1 Au 0.000 0.000 0.498
```

Main lines, sorted by position (2θ = 10–90°):
2θ = 37.19°, I = 7.8, hkl 0 2 2
2θ = 38.51°, I = 44.2, hkl 1 2 2
2θ = 39.35°, I = 36.4, hkl 4 0 0
2θ = 42.27°, I = 100.0, hkl 2 0 4
2θ = 48.00°, I = 23.5, hkl 3 2 2
2θ = 63.74°, I = 9.9, hkl 5 2 2
2θ = 67.05°, I = 22.2, hkl 0 4 0
2θ = 73.34°, I = 18.8, hkl 6 0 4
2θ = 80.60°, I = 26.3, hkl 4 4 0
2θ = 82.53°, I = 13.9, hkl 2 4 4

***

3.
Structure and calculated PXRD pattern of Al3PdAu3 (the PBE geometry in Alexandria; Cu Kα X-rays).
No peak broadening, texture or thermal motion is included.

Atomic structure:
```
data_Al3PdAu3
_cell_length_a 7.9764
_cell_length_b 7.9764
_cell_length_c 6.5384
_cell_angle_alpha 90.00
_cell_angle_beta 90.00
_cell_angle_gamma 120.00
_symmetry_space_group_name_H-M 'R 3 m'
_symmetry_Int_Tables_number 160
_symmetry_space_group_name_Hall 'R 3 -2"'
loop_
_atom_site_label
_atom_site_type_symbol
_atom_site_fract_x
_atom_site_fract_y
_atom_site_fract_z
Al1 Al 0.1842 0.3684 0.0000
Pd1 Pd 0.0000 0.0000 0.0955
Au1 Au 0.2076 0.4152 0.4083
```

Main lines, sorted by position (2θ = 10–90°):
2θ = 18.69°, I = 37.2, hkl 1 0 1
2θ = 29.24°, I = 100.0, hkl 0 2 1
2θ = 30.25°, I = 22.2, hkl 0 1 2
2θ = 37.08°, I = 45.2, hkl 2 1 1
2θ = 37.89°, I = 74.4, hkl 2 0 2
2θ = 39.12°, I = 57.5, hkl 3 0 0
2θ = 41.43°, I = 27.4, hkl 0 0 3
2θ = 44.41°, I = 27.0, hkl 1 2 2
2θ = 58.29°, I = 32.9, hkl 0 3 3
2θ = 65.45°, I = 19.5, hkl 2 3 2

***

4.
Structure and calculated PXRD pattern of AlPd7Au4 (the PBE geometry in Alexandria; Cu Kα X-rays).
No peak broadening, texture or thermal motion is included.

Atomic structure:
```
data_AlPd7Au4
_cell_length_a 9.737
_cell_length_b 4.768
_cell_length_c 9.586
_cell_angle_alpha 90.00
_cell_angle_beta 111.36
_cell_angle_gamma 90.00
_symmetry_space_group_name_H-M 'C 1 2/m 1'
_symmetry_Int_Tables_number 12
loop_
_symmetry_equiv_pos_as_xyz
'x,y,z'
'-x,-y,-z'
'-x,y,-z'
'x,-y,z'
'x+1/2,y+1/2,z'
'-x+1/2,-y+1/2,-z'
'-x+1/2,y+1/2,-z'
'x+1/2,-y+1/2,z'
loop_
_atom_site_label
_atom_site_type_symbol
_atom_site_fract_x
_atom_site_fract_y
_atom_site_fract_z
Al1 Al 0.000 0.000 0.000
Pd1 Pd 0.000 0.500 0.000
Pd2 Pd 0.102 0.000 0.280
Pd3 Pd 0.132 0.500 0.472
Pd4 Pd 0.205 0.000 0.921
Au1 Au 0.121 0.500 0.773
Au2 Au 0.138 0.000 0.618
```

Main lines, sorted by position (2θ = 10–90°):
2θ = 18.44°, I = 37.0, hkl 2 0 -1
2θ = 25.06°, I = 24.3, hkl 2 0 1
2θ = 37.20°, I = 30.7, hkl 4 0 -1
2θ = 37.73°, I = 85.6, hkl 0 2 0
2θ = 38.77°, I = 81.6, hkl 3 1 -3
2θ = 39.76°, I = 26.2, hkl 4 0 0
2θ = 39.92°, I = 100.0, hkl 1 1 3
2θ = 42.49°, I = 23.1, hkl 1 1 -4
2θ = 44.98°, I = 29.2, hkl 3 1 -4
2θ = 68.82°, I = 22.6, hkl 3 3 -3

***

5.
Structure and calculated PXRD pattern of PmAl2Pd2Au (the PBE geometry in Alexandria; Cu Kα X-rays).
No peak broadening, texture or thermal motion is included.

Atomic structure:
```
data_PmAl2Pd2Au
_cell_length_a 4.723
_cell_length_b 4.723
_cell_length_c 5.724
_cell_angle_alpha 90.00
_cell_angle_beta 90.00
_cell_angle_gamma 90.00
_symmetry_space_group_name_H-M 'P 4/m m m'
_symmetry_Int_Tables_number 123
_symmetry_space_group_name_Hall '-P 4 2'
loop_
_atom_site_label
_atom_site_type_symbol
_atom_site_fract_x
_atom_site_fract_y
_atom_site_fract_z
Pm1 Pm 0.000 0.000 0.000
Al1 Al 0.000 0.500 0.500
Pd1 Pd 0.500 0.500 0.246
Au1 Au 0.000 0.000 0.500
```

Main lines, sorted by position (2θ = 10–90°):
2θ = 18.79°, I = 12.6, hkl 1 0 0
2θ = 26.69°, I = 93.8, hkl 1 1 0
2θ = 36.71°, I = 100.0, hkl 1 0 2
2θ = 38.11°, I = 54.2, hkl 2 0 0
2θ = 53.95°, I = 65.9, hkl 2 1 2
2θ = 54.99°, I = 18.7, hkl 2 2 0
2θ = 62.15°, I = 17.6, hkl 3 1 0
2θ = 67.95°, I = 16.4, hkl 3 0 2
2θ = 78.08°, I = 13.3, hkl 2 0 4
2θ = 80.66°, I = 20.6, hkl 3 2 2

***

6.
Structure and calculated PXRD pattern of Sm2Al3PdAu4 (the PBE geometry in Alexandria; Cu Kα X-rays).
No peak broadening, texture or thermal motion is included.

Atomic structure:
```
data_Sm2Al3PdAu4
_cell_length_a 4.252
_cell_length_b 4.252
_cell_length_c 11.294
_cell_angle_alpha 90.00
_cell_angle_beta 90.00
_cell_angle_gamma 90.00
_symmetry_space_group_name_H-M 'P -4 m 2'
_symmetry_Int_Tables_number 115
loop_
_symmetry_equiv_pos_as_xyz
'x,y,z'
'y,-x,-z'
'-x,-y,z'
'-y,x,-z'
'-x,y,z'
'-y,-x,-z'
'x,-y,z'
'y,x,-z'
loop_
_atom_site_label
_atom_site_type_symbol
_atom_site_fract_x
_atom_site_fract_y
_atom_site_fract_z
Sm1 Sm 0.000 0.500 0.246
Al1 Al 0.000 0.000 0.000
Al2 Al 0.000 0.500 0.629
Pd1 Pd 0.500 0.500 0.000
Au1 Au 0.000 0.000 0.500
Au2 Au 0.000 0.500 0.848
Au3 Au 0.500 0.500 0.500
```

Main lines, sorted by position (2θ = 10–90°):
2θ = 23.63°, I = 25.0, hkl 0 0 3
2θ = 26.24°, I = 19.9, hkl 1 0 2
2θ = 30.78°, I = 28.8, hkl 1 1 1
2θ = 31.74°, I = 32.6, hkl 0 0 4
2θ = 33.78°, I = 100.0, hkl 1 1 2
2θ = 42.53°, I = 47.0, hkl 2 0 0
2θ = 44.00°, I = 18.7, hkl 1 1 4
2θ = 45.47°, I = 25.8, hkl 1 0 5
2θ = 64.01°, I = 18.7, hkl 2 1 5
2θ = 72.23°, I = 22.4, hkl 3 1 2

***

7.
Structure and calculated PXRD pattern of Sr2Al4PdAu3 (the PBE geometry in Alexandria; Cu Kα X-rays).
No peak broadening, texture or thermal motion is included.

Atomic structure:
```
data_Sr2Al4PdAu3
_cell_length_a 4.491
_cell_length_b 4.491
_cell_length_c 10.587
_cell_angle_alpha 90.00
_cell_angle_beta 90.00
_cell_angle_gamma 90.00
_symmetry_space_group_name_H-M 'P -4 m 2'
_symmetry_Int_Tables_number 115
loop_
_symmetry_equiv_pos_as_xyz
'x,y,z'
'y,-x,-z'
'-x,-y,z'
'-y,x,-z'
'-x,y,z'
'-y,-x,-z'
'x,-y,z'
'y,x,-z'
loop_
_atom_site_label
_atom_site_type_symbol
_atom_site_fract_x
_atom_site_fract_y
_atom_site_fract_z
Sr1 Sr 0.000 0.500 0.247
Al1 Al 0.000 0.000 0.500
Al2 Al 0.000 0.500 0.881
Al3 Al 0.500 0.500 0.500
Pd1 Pd 0.500 0.500 0.000
Au1 Au 0.000 0.000 0.000
Au2 Au 0.000 0.500 0.634
```

Main lines, sorted by position (2θ = 10–90°):
2θ = 25.24°, I = 40.9, hkl 0 0 3
2θ = 26.02°, I = 68.0, hkl 1 0 2
2θ = 29.36°, I = 89.9, hkl 1 1 1
2θ = 32.26°, I = 66.7, hkl 1 0 3
2θ = 32.89°, I = 100.0, hkl 1 1 2
2θ = 40.15°, I = 85.2, hkl 2 0 0
2θ = 44.56°, I = 51.1, hkl 1 1 4
2θ = 47.47°, I = 33.9, hkl 1 0 5
2θ = 48.02°, I = 30.1, hkl 2 0 3
2θ = 52.41°, I = 33.9, hkl 2 1 3

***

8.
Structure and calculated PXRD pattern of AlZnPdAu (the PBE geometry in Alexandria; Cu Kα X-rays).
No peak broadening, texture or thermal motion is included.

Atomic structure:
```
data_AlZnPdAu
_cell_length_a 3.118
_cell_length_b 3.118
_cell_length_c 6.337
_cell_angle_alpha 90.00
_cell_angle_beta 90.00
_cell_angle_gamma 90.00
_symmetry_space_group_name_H-M 'P 4 m m'
_symmetry_Int_Tables_number 99
loop_
_symmetry_equiv_pos_as_xyz
'x,y,z'
'-y,x,z'
'-x,-y,z'
'y,-x,z'
'-x,y,z'
'y,x,z'
'x,-y,z'
'-y,-x,z'
loop_
_atom_site_label
_atom_site_type_symbol
_atom_site_fract_x
_atom_site_fract_y
_atom_site_fract_z
Al1 Al 0.000 0.000 0.000
Zn1 Zn 0.000 0.000 0.472
Pd1 Pd 0.500 0.500 0.222
Au1 Au 0.500 0.500 0.740
```

Main lines, sorted by position (2θ = 10–90°):
2θ = 13.97°, I = 13.2, hkl 0 0 1
2θ = 28.16°, I = 17.5, hkl 0 0 2
2θ = 28.63°, I = 33.7, hkl 1 0 0
2θ = 31.99°, I = 15.6, hkl 1 0 1
2θ = 40.59°, I = 100.0, hkl 1 0 2
2θ = 40.93°, I = 49.6, hkl 1 1 0
2θ = 50.42°, I = 14.6, hkl 1 1 2
2θ = 59.26°, I = 16.5, hkl 2 0 0
2θ = 73.62°, I = 16.3, hkl 1 1 4
2θ = 74.31°, I = 33.2, hkl 2 1 2

***

9.
Structure and calculated PXRD pattern of Pm2Al4Au3 (the PBE geometry in Alexandria; Cu Kα X-rays).
No peak broadening, texture or thermal motion is included.

Atomic structure:
```
data_Pm2Al4Au3
_cell_length_a 5.954
_cell_length_b 15.649
_cell_length_c 7.788
_cell_angle_alpha 90.00
_cell_angle_beta 90.00
_cell_angle_gamma 90.00
_symmetry_space_group_name_H-M 'C m c e'
_symmetry_Int_Tables_number 64
_symmetry_space_group_name_Hall '-C 2ac 2'
loop_
_atom_site_label
_atom_site_type_symbol
_atom_site_fract_x
_atom_site_fract_y
_atom_site_fract_z
Pm1 Pm 0.000 0.105 0.096
Al1 Al 0.000 0.176 0.487
Al2 Al 0.250 0.066 0.750
Au1 Au 0.000 0.000 0.500
Au2 Au 0.250 0.234 0.750
```

Main lines, sorted by position (2θ = 10–90°):
2θ = 25.43°, I = 49.1, hkl 1 3 1
2θ = 25.55°, I = 96.4, hkl 0 2 2
2θ = 32.17°, I = 64.2, hkl 2 2 0
2θ = 32.41°, I = 36.5, hkl 0 4 2
2θ = 34.36°, I = 78.7, hkl 1 5 1
2θ = 38.03°, I = 100.0, hkl 2 0 2
2θ = 41.68°, I = 30.2, hkl 0 6 2
2θ = 44.79°, I = 38.3, hkl 2 4 2
2θ = 52.49°, I = 28.9, hkl 0 4 4
2θ = 67.81°, I = 25.6, hkl 2 6 4

***

10.
Structure and calculated PXRD pattern of Pm3Al3Au (the PBE geometry in Alexandria; Cu Kα X-rays).
No peak broadening, texture or thermal motion is included.

Atomic structure:
```
data_Pm3Al3Au
_cell_length_a 11.053
_cell_length_b 4.569
_cell_length_c 14.915
_cell_angle_alpha 90.00
_cell_angle_beta 111.03
_cell_angle_gamma 90.00
_symmetry_space_group_name_H-M 'C 1 2/m 1'
_symmetry_Int_Tables_number 12
loop_
_symmetry_equiv_pos_as_xyz
'x,y,z'
'-x,-y,-z'
'-x,y,-z'
'x,-y,z'
'x+1/2,y+1/2,z'
'-x+1/2,-y+1/2,-z'
'-x+1/2,y+1/2,-z'
'x+1/2,-y+1/2,z'
loop_
_atom_site_label
_atom_site_type_symbol
_atom_site_fract_x
_atom_site_fract_y
_atom_site_fract_z
Pm1 Pm 0.031 0.000 0.379
Pm2 Pm 0.105 0.000 0.924
Pm3 Pm 0.243 0.000 0.230
Al1 Al 0.038 0.500 0.232
Al2 Al 0.106 0.500 0.078
Al3 Al 0.135 0.500 0.537
Au1 Au 0.249 0.500 0.394
```

Main lines, sorted by position (2θ = 10–90°):
2θ = 21.27°, I = 37.6, hkl 1 1 0
2θ = 26.55°, I = 36.6, hkl 1 1 -3
2θ = 30.81°, I = 100.0, hkl 1 1 3
2θ = 30.96°, I = 33.7, hkl 1 1 -4
2θ = 31.37°, I = 79.7, hkl 3 1 -2
2θ = 32.77°, I = 33.2, hkl 3 1 -3
2θ = 38.52°, I = 50.5, hkl 3 1 2
2θ = 38.83°, I = 29.4, hkl 0 0 6
2θ = 39.44°, I = 51.4, hkl 0 2 0
2θ = 53.64°, I = 30.1, hkl 3 1 -8